This entry pairs a crystal structure of Fe3P2O16 with its theoretical powder diffraction line list. Radiation: copper Kα. Structure: a structure optimized by DFT (PBE+U).

Peak list (10 most intense, 2θ = 10–80°, by intensity)
(2 0 1), 30.24°, rel. 100
(2 0 0), 17.94°, rel. 88
(1 3 -1), 30.75°, rel. 83
(0 2 0), 15.63°, rel. 54
(3 3 -1), 37.77°, rel. 45
(2 0 -1), 23.03°, rel. 44
(0 0 1), 19.84°, rel. 42
(1 1 0), 11.87°, rel. 33
(3 3 -2), 49.10°, rel. 28
(2 2 -1), 27.96°, rel. 25

Structural model:
```
data_Fe3P2O16
_cell_length_a 10.251
_cell_length_b 11.338
_cell_length_c 4.638
_cell_angle_alpha 90.00
_cell_angle_beta 105.25
_cell_angle_gamma 90.00
_space_group_name_H-M_alt 'C 1 2/m 1'
_space_group_IT_number 12
loop_
_space_group_symop_operation_xyz
'x,y,z'
'-x,-y,-z'
'-x,y,-z'
'x,-y,z'
'x+1/2,y+1/2,z'
'-x+1/2,-y+1/2,-z'
'-x+1/2,y+1/2,-z'
'x+1/2,-y+1/2,z'
loop_
_atom_site_label
_atom_site_type_symbol
_atom_site_fract_x
_atom_site_fract_y
_atom_site_fract_z
Fe1 Fe 0.000 0.000 0.000
Fe2 Fe 0.000 0.368 0.000
P1 P 0.177 0.500 0.572
O1 O 0.066 0.135 0.769
O2 O 0.109 0.500 0.844
O3 O 0.112 0.234 0.892
O4 O 0.134 0.387 0.387
O5 O 0.169 0.000 0.297
```